(1)
Diffraction record for Li2V3O4F4. The XRD peak list is simulated, not measured: it uses the GGA+U geometry in the Materials Project and Cu Kα.
Peak positions follow from Bragg's law for the DFT cell and can differ from measured ones.

Cell and atoms:
```
data_Li2V3O4F4
_cell_length_a 19.574
_cell_length_b 6.113
_cell_length_c 5.010
_cell_angle_alpha 90.00
_cell_angle_beta 91.94
_cell_angle_gamma 90.00
_symmetry_space_group_name_H-M 'C 1 m 1'
_symmetry_Int_Tables_number 8
loop_
_symmetry_equiv_pos_as_xyz
'x,y,z'
'x,-y,z'
'x+1/2,y+1/2,z'
'x+1/2,-y+1/2,z'
loop_
_atom_site_label
_atom_site_fract_x
_atom_site_fract_y
_atom_site_fract_z
_atom_site_occupancy
Li1 0.000 0.000 0.000 1
Li2 0.000 0.500 0.002 1
Li3 0.300 0.250 0.904 1
V1 0.142 0.250 0.938 1
V2 0.248 0.000 0.439 1
V3 0.248 0.500 0.439 1
V4 0.386 0.250 0.500 1
O1 0.186 0.000 0.154 1
O2 0.186 0.500 0.155 1
O3 0.214 0.249 0.659 1
O4 0.300 0.250 0.276 1
O5 0.332 0.000 0.678 1
O6 0.332 0.500 0.678 1
F1 0.059 0.251 0.136 1
F2 0.096 0.000 0.740 1
F3 0.096 0.500 0.739 1
F4 0.431 0.000 0.305 1
F5 0.431 0.500 0.305 1
F6 0.451 0.250 0.799 1
```

Peak list (10 most intense, 10° ≤ 2θ ≤ 90°, in order of rising 2θ)
2θ/deg  I/Imax
18.1  21
19.6  100
20.2  81
32.3  31
33.3  26
34.6  26
35.8  29
38.8  54
50.2  26
51.2  24

---

(2)
Diffraction record for LiVOF3. The XRD peak list is simulated, not measured: it uses the GGA+U geometry in the Materials Project and Cu Kα.
Peak positions follow from Bragg's law for the DFT cell and can differ from measured ones.

Cell and atoms:
```
data_LiVOF3
_cell_length_a 5.144
_cell_length_b 6.033
_cell_length_c 9.903
_cell_angle_alpha 90.00
_cell_angle_beta 90.00
_cell_angle_gamma 90.00
_symmetry_space_group_name_H-M 'P 21 21 21'
_symmetry_Int_Tables_number 19
loop_
_symmetry_equiv_pos_as_xyz
'x,y,z'
'-x+1/2,-y,z+1/2'
'x+1/2,-y+1/2,-z'
'-x,y+1/2,-z+1/2'
loop_
_atom_site_label
_atom_site_fract_x
_atom_site_fract_y
_atom_site_fract_z
_atom_site_occupancy
Li1 0.070 0.170 0.369 1
V1 0.191 0.367 0.906 1
O1 0.129 0.838 0.478 1
F1 0.003 0.269 0.760 1
F2 0.052 0.507 0.288 1
F3 0.213 0.647 0.993 1
```

Peak list (10 most intense, 10° ≤ 2θ ≤ 90°, in order of rising 2θ)
2θ/deg  I/Imax
17.2  68
22.7  78
23.2  56
24.5  47
25.0  100
35.6  73
39.5  41
40.5  24
44.3  34
58.6  29

---

(3)
Diffraction record for LiV3O5F. The XRD peak list is simulated, not measured: it uses the GGA+U geometry in the Materials Project and Cu Kα.
Peak positions follow from Bragg's law for the DFT cell and can differ from measured ones.

Cell and atoms:
```
data_LiV3O5F
_cell_length_a 5.095
_cell_length_b 5.520
_cell_length_c 8.983
_cell_angle_alpha 107.59
_cell_angle_beta 90.35
_cell_angle_gamma 116.33
_symmetry_space_group_name_H-M 'P 1'
_symmetry_Int_Tables_number 1
loop_
_symmetry_equiv_pos_as_xyz
'x,y,z'
loop_
_atom_site_label
_atom_site_fract_x
_atom_site_fract_y
_atom_site_fract_z
_atom_site_occupancy
Li1 0.000 0.000 0.000 1
Li2 0.476 0.993 0.495 1
V1 0.108 0.163 0.342 1
V2 0.301 0.546 0.747 1
V3 0.339 0.620 0.104 1
V4 0.610 0.166 0.835 1
V5 0.805 0.542 0.244 1
V6 0.828 0.640 0.607 1
O1 0.226 0.835 0.289 1
O2 0.271 0.850 0.674 1
O3 0.364 0.355 0.213 1
O4 0.373 0.368 0.897 1
O5 0.385 0.360 0.548 1
O6 0.733 0.858 0.798 1
O7 0.771 0.835 0.172 1
O8 0.841 0.359 0.721 1
O9 0.866 0.394 0.391 1
O10 0.870 0.352 0.046 1
F1 0.292 0.848 0.962 1
F2 0.801 0.875 0.468 1
```

Peak list (10 most intense, 10° ≤ 2θ ≤ 90°, in order of rising 2θ)
2θ/deg  I/Imax
19.1  68
21.0  100
23.1  64
23.9  78
24.1  63
32.0  82
32.6  77
33.1  77
34.7  61
39.6  57